# 1
# Sr2LiDy
Theoretical powder XRD pattern, Cu Kα (weighted mean of Kα1 and Kα2). Input: a cell relaxed with GGA-PBE.
Neutral-atom scattering factors, no anomalous dispersion.

Top 10 peaks for 2θ from 10° to 80°, low angle first:
- 2θ = 10.3°, I = 48
- 2θ = 23.3°, I = 44
- 2θ = 29.5°, I = 100
- 2θ = 29.7°, I = 50
- 2θ = 31.5°, I = 15
- 2θ = 42.5°, I = 19
- 2θ = 49.0°, I = 12
- 2θ = 52.2°, I = 19
- 2θ = 52.6°, I = 39
- 2θ = 61.2°, I = 12

Cell: 4.2542 4.2542 8.6206 Å, 90.00 90.00 90.00°
Space group P4/mmm (No. 123)
One atom of each set of equivalent atoms:
Sr 0.0000 0.0000 0.2380 x2
Li 0.5000 0.5000 0.0000 x1
Dy 0.5000 0.5000 0.5000 x1

=====

# 2
# Ho3CuSi4
Theoretical powder XRD pattern, Cu Kα (weighted mean of Kα1 and Kα2). Input: a cell relaxed with GGA-PBE.
Neutral-atom scattering factors, no anomalous dispersion.

Top 10 peaks for 2θ from 10° to 80°, low angle first:
- 2θ = 24.4°, I = 44
- 2θ = 29.1°, I = 100
- 2θ = 32.0°, I = 18
- 2θ = 37.7°, I = 28
- 2θ = 39.1°, I = 16
- 2θ = 40.8°, I = 13
- 2θ = 42.5°, I = 18
- 2θ = 49.6°, I = 13
- 2θ = 55.3°, I = 17
- 2θ = 57.9°, I = 21

Cell: 4.2524 5.5927 14.4397 Å, 90.00 90.00 90.00°
Space group Immm (No. 71)
One atom of each set of equivalent atoms:
Ho 0.0000 0.0000 0.0000 x2
Ho 0.0000 0.5000 0.1940 x4
Cu 0.0000 0.0000 0.5000 x2
Si 0.0000 0.2875 0.3811 x8

=====

What did the first record say?
# Sr2LiDy
Theoretical powder XRD pattern, Cu Kα (weighted mean of Kα1 and Kα2). Input: a cell relaxed with GGA-PBE.
Neutral-atom scattering factors, no anomalous dispersion.

Top 10 peaks for 2θ from 10° to 80°, low angle first:
- 2θ = 10.3°, I = 48
- 2θ = 23.3°, I = 44
- 2θ = 29.5°, I = 100
- 2θ = 29.7°, I = 50
- 2θ = 31.5°, I = 15
- 2θ = 42.5°, I = 19
- 2θ = 49.0°, I = 12
- 2θ = 52.2°, I = 19
- 2θ = 52.6°, I = 39
- 2θ = 61.2°, I = 12

Cell: 4.2542 4.2542 8.6206 Å, 90.00 90.00 90.00°
Space group P4/mmm (No. 123)
One atom of each set of equivalent atoms:
Sr 0.0000 0.0000 0.2380 x2
Li 0.5000 0.5000 0.0000 x1
Dy 0.5000 0.5000 0.5000 x1